Record 1
NaAuS: calculated X-ray diffraction stick pattern (CuKα), based on the PBE geometry in Alexandria.

Peak list (10 most intense, 2θ from 10° to 90°, in order of rising 2θ)
2θ/deg	I_rel	h k l
11.93	81.1	2 0 0
14.33	72.9	1 1 1
20.41	43.1	2 4 0
29.26	100.0	4 4 0
29.97	87.1	0 4 2
32.35	60.9	2 4 2
33.36	26.2	0 8 0
34.81	35.2	4 0 2
48.98	54.6	4 8 2
58.63	26.9	8 4 2

Structural model:
abc: 14.8339 21.4874 7.1692
angles: 90.00 90.00 90.00
Space group Ccce (No. 68, origin choice 2)
Asymmetric unit:
1 Na 0.0000 0.1368 0.2500
2 Na 0.1875 0.0648 0.0900
3 Na 0.2489 0.2500 0.2500
4 Au 0.0000 0.0000 0.0000
5 Au 0.0000 0.2500 0.5281
6 Au 0.1226 0.1266 0.7228
7 S 0.1294 0.0606 0.4650
8 S 0.1294 0.1879 0.9926

***

Record 2
CsTm2NpO8: calculated X-ray diffraction stick pattern (CuKα), based on the PBE geometry in Alexandria.

Peak list (10 most intense, 2θ from 10° to 90°, in order of rising 2θ)
2θ/deg	I_rel	h k l
11.40	23.2	0 1 0
24.62	56.4	1 0 -1
24.77	50.7	1 0 1
28.91	100.0	0 2 1
35.20	31.7	2 0 0
46.09	35.9	1 2 -2
46.26	33.4	1 2 2
53.64	24.1	1 4 1
59.36	19.1	3 2 0
59.90	11.3	2 4 0

Structural model:
abc: 5.0989 7.7625 5.0990
angles: 90.00 90.33 90.00
Space group P2/m (No. 10)
Asymmetric unit:
1 Cs 0.0000 0.0000 0.0000
2 Tm 0.5000 0.2850 0.5000
3 Np 0.0000 0.5000 0.0000
4 O 0.1906 0.3185 0.1925
5 O 0.3009 0.5000 0.7004
6 O 0.3952 0.0000 0.6057

***

Record 3
KBi3Pd5: calculated X-ray diffraction stick pattern (CuKα), based on the PBE geometry in Alexandria.

Peak list (10 most intense, 2θ from 10° to 90°, in order of rising 2θ)
2θ/deg	I_rel	h k l
13.01	75.3	0 0 2
13.83	55.8	0 2 1
29.17	38.4	1 1 3
30.68	52.7	1 3 2
34.09	49.6	1 1 4
39.60	93.6	1 1 5
39.68	100.0	1 5 2
41.73	72.4	2 0 0
42.36	50.2	0 6 3
43.51	54.3	1 3 5

Structural model:
abc: 4.3292 14.5072 13.6074
angles: 90.00 90.00 90.00
Space group Cmcm (No. 63)
Asymmetric unit:
1 K 0.0000 0.1734 0.2500
2 Bi 0.0000 0.1106 0.7500
3 Bi 0.0000 0.3776 0.5494
4 Pd 0.0000 0.0000 0.0000
5 Pd 0.0000 0.1899 0.5606
6 Pd 0.0000 0.4469 0.1408

***

Record 4
Ba4YbPrCu6O14: calculated X-ray diffraction stick pattern (CuKα), based on the PBE geometry in Alexandria.

Peak list (10 most intense, 2θ from 10° to 90°, in order of rising 2θ)
2θ/deg	I_rel	h k l
32.06	46.9	0 2 3
32.39	100.0	2 0 3
39.81	15.1	2 2 3
45.86	10.1	0 0 6
46.08	14.5	0 4 0
46.95	13.6	4 0 0
57.28	18.0	2 2 6
57.43	19.6	2 4 3
57.99	17.3	4 2 3
67.90	8.4	4 4 0

Structural model:
abc: 7.7404 7.8788 11.8730
angles: 90.00 90.00 90.00
Space group Cmmm (No. 65)
Asymmetric unit:
1 Ba 0.0000 0.0000 0.1796
2 Ba 0.0000 0.5000 0.1831
3 Yb 0.0000 0.5000 0.5000
4 Pr 0.0000 0.0000 0.5000
5 Cu 0.2500 0.2500 0.0000
6 Cu 0.2500 0.2500 0.3497
7 O 0.0000 0.2532 0.3739
8 O 0.2457 0.5000 0.3726
9 O 0.2468 0.0000 0.0000
10 O 0.2500 0.2500 0.1577